Theoretical XRD peak list of CsMo3Br3Cl4 for Cu Kα, 1.54184 Å, from a structure optimized by DFT (GGA-PBE).

Atomic structure:
```
data_CsMo3Br3Cl4
_cell_length_a 10.1329
_cell_length_b 10.1329
_cell_length_c 15.1946
_cell_angle_alpha 90.00
_cell_angle_beta 90.00
_cell_angle_gamma 120.00
_space_group_name_H-M_alt 'P 3 1 c'
_space_group_IT_number 159
loop_
_space_group_symop_operation_xyz
'x,y,z'
'-y,x-y,z'
'-x+y,-x,z'
'y,x,z+1/2'
'x-y,-y,z+1/2'
'-x,-x+y,z+1/2'
loop_
_atom_site_label
_atom_site_fract_x
_atom_site_fract_y
_atom_site_fract_z
_atom_site_occupancy
Cs1 0.0000 0.0000 0.0000 1
Cs2 0.3333 0.6667 0.2267 1
Mo1 0.1794 0.5211 0.6575 1
Mo2 0.1858 0.6717 0.7981 1
Br1 0.0353 0.7008 0.3886 1
Br2 0.0492 0.3654 0.0666 1
Cl1 0.0461 0.3866 0.7964 1
Cl2 0.0586 0.6843 0.6593 1
Cl3 0.3333 0.6667 0.5280 1
Cl4 0.3333 0.6667 0.9268 1
```

Peak list (8 most intense, 2θ = 15–90°, sorted by position)
- 15.43°, intensity 100, (1 0 2)
- 21.08°, intensity 59, (1 1 2)
- 26.88°, intensity 30, (2 0 3)
- 29.39°, intensity 71, (2 -1 4)
- 30.56°, intensity 51, (3 0 0)
- 37.42°, intensity 43, (4 -1 1)
- 42.91°, intensity 100, (2 2 4)
- 48.67°, intensity 42, (5 -2 3)